Calculated powder diffractogram of Rb2BWF6 for Cu Kα X-rays, from a cell relaxed with GGA+U.

Atomic structure:
```
data_Rb2BWF6
_chemical_formula_sum 'Rb4 B2 W2 F12'
_space_group_name_H-M_alt 'I 4/m m m'
_space_group_IT_number 139
_space_group_name_Hall '-I 4 2'
_cell_length_a 6.2443
_cell_length_b 6.2443
_cell_length_c 8.8497
_cell_angle_alpha 90.00
_cell_angle_beta 90.00
_cell_angle_gamma 90.00
loop_
_atom_site_label
_atom_site_type_symbol
_atom_site_fract_x
_atom_site_fract_y
_atom_site_fract_z
Rb1 Rb 0.0000 0.5000 0.2500
B1 B 0.0000 0.0000 0.0000
W1 W 0.0000 0.0000 0.5000
F1 F 0.0000 0.0000 0.2601
F2 F 0.2399 0.2399 0.5000
```

Top 10 peaks for 10 to 90 degrees two-theta, sorted by position:
d_spacing, I/Imax
5.102, 66
3.124, 100
2.664, 36
2.209, 41
2.027, 15
1.804, 41
1.562, 26
1.494, 9
1.396, 12
1.181, 15